The following is a simulated powder X-ray diffraction pattern of LaZn4Ga2. It was derived from a crystal structure in Alexandria, relaxed with GGA-PBE, using CuKα.
No peak broadening, texture or thermal motion is included.

Structure:
Cell: 4.2268 14.6204 4.1973 Å, 90.00 90.00 90.00°
Space group Cmmm (No. 65)
Asymmetric unit:
La  0.0000  0.0000  0.0000 (multiplicity 2)
Zn  0.0000  0.1868  0.5000 (multiplicity 4)
Zn  0.0000  0.3076  0.0000 (multiplicity 4)
Ga  0.0000  0.4130  0.5000 (multiplicity 4)

Principal peaks in the range 2θ from 10° to 90°, in order of rising 2θ:
2θ 27.94, I 12, (1 3 0)
2θ 30.63, I 24, (1 1 1)
2θ 32.48, I 25, (0 4 1)
2θ 35.32, I 100, (1 3 1)
2θ 37.40, I 20, (1 5 0)
2θ 42.79, I 32, (2 0 0)
2θ 42.92, I 13, (0 6 1)
2θ 43.10, I 31, (0 0 2)
2θ 43.37, I 27, (1 5 1)
2θ 54.74, I 14, (2 4 1)
2θ 62.35, I 20, (2 0 2)
2θ 73.52, I 11, (3 3 1)